# Mg14AlSn
Computed powder diffractogram, Cu Kα (weighted mean of Kα1 and Kα2). Input: a structure optimized by DFT (PBE).
Intensities are scaled so that the largest is 100.

Structural model:
Cell lengths 10.3890, 6.2967, 6.2967 Å; angles 61.34, 90.00, 90.00 degrees
Sites, in units of the cell vectors:
Mg 0.0000 0.0000 0.0000
Mg 0.0000 0.0009 0.5007
Mg 0.0000 0.5000 0.5000
Mg 0.0000 0.5007 0.0009
Mg 0.2472 0.1680 0.1680
Mg 0.2505 0.1710 0.6645
Mg 0.2505 0.6645 0.1710
Mg 0.2506 0.6662 0.6662
Mg 0.5000 0.9998 0.5003
Mg 0.5000 0.5003 0.9998
Mg 0.7494 0.6662 0.6662
Mg 0.7495 0.1710 0.6645
Mg 0.7495 0.6645 0.1710
Mg 0.7528 0.1680 0.1680
Al 0.5000 0.5024 0.5024
Sn 0.5000 0.0010 0.0010

Most intense lines, 10 to 90 degrees two-theta, most intense first:
two_theta, Rel. int.
36.85, 100
37.45, 48
34.53, 39
32.41, 26
18.19, 25
63.40, 21
69.89, 20
48.08, 17
58.66, 16
16.04, 16